1.
Zr2P3H4NO12: computed powder XRD pattern (Cu Kα X-rays), based on DFT lattice parameters and positions (GGA-PBE).
No peak broadening, texture or thermal motion is included.

Largest 6 diffraction maxima, by angle, 15 to 90 degrees two-theta:
2theta	d/Å	intensity
18.5	4.800	61
20.2	4.407	79
22.9	3.885	79
27.5	3.246	53
29.7	3.008	100
46.8	1.943	31

Cell lengths 9.678, 9.678, 9.678 Å; angles 54.17, 54.17, 54.17 degrees
Atoms (fractional coordinates):
Zr  0.000  0.000  0.000
Zr  0.198  0.198  0.198
Zr  0.500  0.500  0.500
Zr  0.698  0.698  0.698
P  0.102  0.382  0.812
P  0.312  0.882  0.602
P  0.382  0.812  0.102
P  0.602  0.312  0.882
P  0.812  0.102  0.382
P  0.882  0.602  0.312
H  0.206  0.410  0.373
H  0.373  0.206  0.410
H  0.386  0.386  0.386
H  0.410  0.373  0.206
H  0.706  0.873  0.910
H  0.873  0.910  0.706
H  0.886  0.886  0.886
H  0.910  0.706  0.873
N  0.345  0.345  0.345
N  0.845  0.845  0.845
O  0.047  0.427  0.276
O  0.099  0.361  0.985
O  0.103  0.209  0.836
O  0.148  0.920  0.774
O  0.209  0.836  0.103
O  0.274  0.420  0.648
O  0.276  0.047  0.427
O  0.336  0.709  0.603
O  0.361  0.985  0.099
O  0.420  0.648  0.274
O  0.427  0.276  0.047
O  0.485  0.861  0.599
O  0.547  0.776  0.927
O  0.599  0.485  0.861
O  0.603  0.336  0.709
O  0.648  0.274  0.420
O  0.709  0.603  0.336
O  0.774  0.148  0.920
O  0.776  0.927  0.547
O  0.836  0.103  0.209
O  0.861  0.599  0.485
O  0.920  0.774  0.148
O  0.927  0.547  0.776
O  0.985  0.099  0.361



2.
Pr4HN2O: computed powder XRD pattern (Cu Kα X-rays), based on DFT lattice parameters and positions (GGA-PBE).
No peak broadening, texture or thermal motion is included.

Largest 6 diffraction maxima, by angle, 15 to 90 degrees two-theta:
2theta	d/Å	intensity
29.7	3.010	49
29.8	2.994	50
29.9	2.984	100
34.5	2.598	94
34.8	2.580	46
49.9	1.828	49

Cell lengths 6.328, 3.658, 6.360 Å; angles 90.00, 108.84, 90.00 degrees
Atoms (fractional coordinates):
Pr  0.236  0.000  0.234
Pr  0.248  0.500  0.763
Pr  0.752  0.500  0.237
Pr  0.764  0.000  0.766
H  0.500  0.500  0.500
N  0.000  0.500  0.000
N  0.500  0.000  0.000
O  0.000  0.000  0.500



3.
RbH4SNO4: computed powder XRD pattern (Cu Kα X-rays), based on DFT lattice parameters and positions (GGA-PBE).
No peak broadening, texture or thermal motion is included.

Largest 6 diffraction maxima, by angle, 15 to 90 degrees two-theta:
2theta	d/Å	intensity
15.8	5.620	98
23.0	3.863	66
27.2	3.277	84
28.0	3.183	100
30.4	2.943	66
41.1	2.195	58

Cell lengths 7.726, 6.554, 10.923 Å; angles 90.00, 90.00, 90.00 degrees
Atoms (fractional coordinates):
Rb  0.175  0.250  0.122
Rb  0.325  0.750  0.622
Rb  0.675  0.250  0.378
Rb  0.825  0.750  0.878
H  0.016  0.250  0.653
H  0.126  0.750  0.222
H  0.178  0.621  0.351
H  0.178  0.879  0.351
H  0.322  0.121  0.851
H  0.322  0.379  0.851
H  0.374  0.250  0.722
H  0.484  0.750  0.153
H  0.516  0.250  0.847
H  0.626  0.750  0.278
H  0.678  0.621  0.149
H  0.678  0.879  0.149
H  0.822  0.121  0.649
H  0.822  0.379  0.649
H  0.874  0.250  0.778
H  0.984  0.750  0.347
S  0.225  0.250  0.451
S  0.275  0.750  0.951
S  0.725  0.250  0.049
S  0.775  0.750  0.549
N  0.113  0.750  0.317
N  0.387  0.250  0.817
N  0.613  0.750  0.183
N  0.887  0.250  0.683
O  0.046  0.250  0.402
O  0.181  0.564  0.907
O  0.181  0.936  0.907
O  0.224  0.250  0.589
O  0.276  0.750  0.089
O  0.319  0.064  0.407
O  0.319  0.436  0.407
O  0.454  0.750  0.902
O  0.546  0.250  0.098
O  0.681  0.564  0.593
O  0.681  0.936  0.593
O  0.724  0.250  0.911
O  0.776  0.750  0.411
O  0.819  0.064  0.093
O  0.819  0.436  0.093
O  0.954  0.750  0.598



4.
ReH4NO4: computed powder XRD pattern (Cu Kα X-rays), based on DFT lattice parameters and positions (GGA-PBE).
No peak broadening, texture or thermal motion is included.

Largest 6 diffraction maxima, by angle, 15 to 90 degrees two-theta:
2theta	d/Å	intensity
15.7	5.630	100
24.7	3.604	89
26.3	3.388	27
28.0	3.187	24
32.3	2.774	28
47.6	1.911	24

Cell lengths 7.504, 7.504, 7.504 Å; angles 129.73, 129.73, 73.84 degrees
Atoms (fractional coordinates):
Re  0.375  0.125  0.250
Re  0.625  0.875  0.750
H  0.052  0.637  0.336
H  0.137  0.300  0.585
H  0.200  0.285  0.836
H  0.215  0.552  0.915
H  0.785  0.448  0.085
H  0.800  0.715  0.164
H  0.863  0.700  0.415
H  0.948  0.363  0.664
N  0.125  0.375  0.750
N  0.875  0.625  0.250
O  0.183  0.238  0.339
O  0.262  0.101  0.944
O  0.343  0.683  0.444
O  0.399  0.843  0.161
O  0.601  0.157  0.839
O  0.657  0.317  0.556
O  0.738  0.899  0.056
O  0.817  0.762  0.661



5.
H14RuS2N4O6: computed powder XRD pattern (Cu Kα X-rays), based on DFT lattice parameters and positions (GGA-PBE).
No peak broadening, texture or thermal motion is included.

Largest 6 diffraction maxima, by angle, 15 to 90 degrees two-theta:
2theta	d/Å	intensity
15.1	5.866	60
15.2	5.819	100
16.5	5.362	99
18.9	4.696	40
30.9	2.895	49
33.2	2.698	33

Cell lengths 6.389, 7.008, 11.775 Å; angles 90.00, 114.39, 90.00 degrees
Atoms (fractional coordinates):
H  0.051  0.015  0.337
H  0.051  0.485  0.837
H  0.157  0.202  0.524
H  0.157  0.298  0.024
H  0.191  0.593  0.763
H  0.191  0.907  0.263
H  0.201  0.140  0.280
H  0.201  0.360  0.780
H  0.296  0.533  0.409
H  0.296  0.967  0.909
H  0.336  0.121  0.663
H  0.336  0.379  0.163
H  0.396  0.183  0.106
H  0.396  0.317  0.606
H  0.604  0.683  0.394
H  0.604  0.817  0.894
H  0.664  0.621  0.837
H  0.664  0.879  0.337
H  0.704  0.033  0.091
H  0.704  0.467  0.591
H  0.799  0.640  0.220
H  0.799  0.860  0.720
H  0.809  0.093  0.737
H  0.809  0.407  0.237
H  0.843  0.702  0.976
H  0.843  0.798  0.476
H  0.949  0.515  0.163
H  0.949  0.985  0.663
Ru  0.500  0.000  0.500
Ru  0.500  0.500  0.000
S  0.353  0.741  0.558
S  0.353  0.759  0.058
S  0.647  0.241  0.942
S  0.647  0.259  0.442
N  0.202  0.015  0.325
N  0.202  0.485  0.825
N  0.328  0.183  0.582
N  0.328  0.317  0.082
N  0.672  0.683  0.918
N  0.672  0.817  0.418
N  0.798  0.515  0.175
N  0.798  0.985  0.675
O  0.187  0.719  0.114
O  0.187  0.781  0.614
O  0.193  0.612  0.436
O  0.193  0.888  0.936
O  0.467  0.099  0.861
O  0.467  0.401  0.361
O  0.533  0.599  0.639
O  0.533  0.901  0.139
O  0.807  0.112  0.064
O  0.807  0.388  0.564
O  0.813  0.219  0.386
O  0.813  0.281  0.886